Entry 1:
Starting from a DFT-relaxed cell (PBE+U, the Materials Project), the powder XRD pattern of Li3Mn3B4O12 was simulated for CuKα.
No peak broadening, texture or thermal motion is included.

Largest 8 diffraction maxima, in order of falling intensity, 15 to 90 degrees two-theta:
(1 0 0), 18.65°, rel. 100; (1 3 -1), 34.05°, rel. 58; (0 1 2), 20.92°, rel. 53; (0 0 4), 37.44°, rel. 51; (1 1 -1), 19.31°, rel. 30; (0 3 1), 30.98°, rel. 26; (2 0 -2), 33.55°, rel. 20; (0 2 2), 27.03°, rel. 19

abc: 5.347 9.078 10.800
angles: 90.00 117.16 90.00
Sites, in units of the cell vectors:
Li (0.000, 0.071, 0.000)
Li (0.000, 0.929, 0.500)
Li (0.906, 0.406, 0.253)
Li (0.906, 0.594, 0.753)
Li (0.975, 0.265, 0.786)
Li (0.975, 0.735, 0.286)
Mn (0.404, 0.257, 0.242)
Mn (0.404, 0.743, 0.742)
Mn (0.448, 0.078, 0.749)
Mn (0.448, 0.922, 0.249)
Mn (0.475, 0.448, 0.501)
Mn (0.475, 0.552, 0.001)
B (0.021, 0.433, 0.018)
B (0.021, 0.567, 0.518)
B (0.422, 0.404, 0.751)
B (0.422, 0.596, 0.251)
B (0.480, 0.087, 0.480)
B (0.480, 0.913, 0.980)
B (0.907, 0.074, 0.244)
B (0.907, 0.926, 0.744)
O (0.088, 0.443, 0.465)
O (0.088, 0.557, 0.965)
O (0.135, 0.079, 0.212)
O (0.135, 0.921, 0.712)
O (0.190, 0.307, 0.044)
O (0.190, 0.693, 0.544)
O (0.301, 0.278, 0.762)
O (0.301, 0.722, 0.262)
O (0.327, 0.072, 0.553)
O (0.327, 0.928, 0.053)
O (0.338, 0.464, 0.293)
O (0.338, 0.536, 0.793)
O (0.524, 0.228, 0.440)
O (0.524, 0.772, 0.940)
O (0.583, 0.036, 0.943)
O (0.583, 0.964, 0.443)
O (0.627, 0.415, 0.705)
O (0.627, 0.585, 0.205)
O (0.764, 0.199, 0.240)
O (0.764, 0.801, 0.740)
O (0.793, 0.431, 0.042)
O (0.793, 0.569, 0.542)
O (0.846, 0.065, 0.780)
O (0.846, 0.935, 0.280)



Entry 2:
Starting from a DFT-relaxed cell (PBE+U, the Materials Project), the powder XRD pattern of Li2Mn3B3O9 was simulated for CuKα.
No peak broadening, texture or thermal motion is included.

Largest 8 diffraction maxima, in order of falling intensity, 15 to 90 degrees two-theta:
(1 -1 1), 20.15°, rel. 100; (0 0 6), 34.89°, rel. 96; (1 0 2), 23.00°, rel. 84; (0 1 -2), 21.75°, rel. 61; (2 -1 0), 34.05°, rel. 43; (2 0 -2), 40.57°, rel. 39; (0 2 -1), 39.10°, rel. 38; (1 -2 3), 37.31°, rel. 31

abc: 5.267 5.307 15.469
angles: 93.22 90.62 119.41
Sites, in units of the cell vectors:
Li (0.007, 0.178, 0.111)
Li (0.313, 0.819, 0.435)
Li (0.687, 0.181, 0.565)
Li (0.993, 0.822, 0.889)
Mn (0.033, 0.167, 0.751)
Mn (0.340, 0.521, 0.587)
Mn (0.344, 0.817, 0.085)
Mn (0.656, 0.183, 0.915)
Mn (0.660, 0.479, 0.413)
Mn (0.967, 0.833, 0.249)
B (0.008, 0.849, 0.582)
B (0.334, 0.823, 0.756)
B (0.342, 0.524, 0.915)
B (0.658, 0.476, 0.085)
B (0.666, 0.177, 0.244)
B (0.992, 0.151, 0.418)
O (0.020, 0.913, 0.382)
O (0.075, 0.824, 0.766)
O (0.088, 0.265, 0.884)
O (0.243, 0.410, 0.443)
O (0.279, 0.885, 0.567)
O (0.303, 0.758, 0.945)
O (0.317, 0.567, 0.721)
O (0.392, 0.454, 0.087)
O (0.399, 0.947, 0.219)
O (0.601, 0.053, 0.781)
O (0.608, 0.546, 0.913)
O (0.683, 0.433, 0.279)
O (0.697, 0.242, 0.055)
O (0.721, 0.115, 0.433)
O (0.757, 0.590, 0.557)
O (0.912, 0.735, 0.116)
O (0.925, 0.176, 0.234)
O (0.980, 0.087, 0.618)



Entry 3:
Starting from a DFT-relaxed cell (PBE+U, the Materials Project), the powder XRD pattern of Li2Mn3B3O9 was simulated for CuKα.
No peak broadening, texture or thermal motion is included.

Largest 8 diffraction maxima, in order of falling intensity, 15 to 90 degrees two-theta:
(0 1 2), 20.22°, rel. 100; (1 0 2), 22.94°, rel. 98; (0 2 -2), 34.60°, rel. 95; (1 2 3), 33.99°, rel. 69; (1 0 -1), 21.93°, rel. 57; (2 2 2), 40.61°, rel. 39; (1 -1 0), 20.70°, rel. 29; (-1 1 3), 37.60°, rel. 29

abc: 5.294 7.870 9.591
angles: 74.97 75.79 87.38
Sites, in units of the cell vectors:
Li (0.048, 0.248, 0.092)
Li (0.363, 0.607, 0.417)
Li (0.637, 0.393, 0.583)
Li (0.952, 0.752, 0.908)
Mn (0.057, 0.471, 0.722)
Mn (0.275, 0.878, 0.622)
Mn (0.395, 0.800, 0.047)
Mn (0.605, 0.200, 0.953)
Mn (0.725, 0.122, 0.378)
Mn (0.943, 0.529, 0.278)
B (0.148, 0.084, 0.849)
B (0.178, 0.252, 0.497)
B (0.487, 0.418, 0.172)
B (0.513, 0.582, 0.828)
B (0.822, 0.748, 0.503)
B (0.852, 0.916, 0.151)
O (0.013, 0.228, 0.893)
O (0.045, 0.988, 0.775)
O (0.063, 0.714, 0.538)
O (0.276, 0.640, 0.790)
O (0.287, 0.364, 0.557)
O (0.323, 0.109, 0.463)
O (0.365, 0.563, 0.221)
O (0.373, 0.334, 0.096)
O (0.377, 0.039, 0.893)
O (0.623, 0.961, 0.107)
O (0.627, 0.666, 0.904)
O (0.635, 0.437, 0.779)
O (0.677, 0.891, 0.537)
O (0.713, 0.636, 0.443)
O (0.724, 0.360, 0.210)
O (0.937, 0.286, 0.462)
O (0.955, 0.012, 0.225)
O (0.987, 0.772, 0.107)



Entry 4:
Starting from a DFT-relaxed cell (PBE+U, the Materials Project), the powder XRD pattern of LiMn4B4O12 was simulated for CuKα.
No peak broadening, texture or thermal motion is included.

Largest 8 diffraction maxima, in order of falling intensity, 15 to 90 degrees two-theta:
(1 1 0), 19.42°, rel. 100; (1 0 -2), 22.37°, rel. 93; (1 0 2), 22.55°, rel. 84; (2 -2 0), 35.32°, rel. 72; (1 2 -2), 33.21°, rel. 49; (0 1 -2), 20.45°, rel. 34; (2 3 -2), 51.49°, rel. 33; (2 1 2), 37.21°, rel. 32

abc: 6.176 7.772 10.363
angles: 91.13 90.34 96.21
Sites, in units of the cell vectors:
Li (0.132, 0.309, 0.207)
Li (0.868, 0.691, 0.793)
Mn (0.045, 0.815, 0.531)
Mn (0.062, 0.814, 0.056)
Mn (0.422, 0.674, 0.700)
Mn (0.459, 0.698, 0.210)
Mn (0.541, 0.302, 0.790)
Mn (0.578, 0.326, 0.300)
Mn (0.938, 0.186, 0.944)
Mn (0.955, 0.185, 0.469)
B (0.218, 0.987, 0.787)
B (0.245, 0.515, 0.444)
B (0.247, 0.005, 0.295)
B (0.254, 0.497, 0.964)
B (0.746, 0.503, 0.036)
B (0.753, 0.995, 0.705)
B (0.755, 0.485, 0.556)
B (0.782, 0.013, 0.213)
O (0.136, 0.010, 0.911)
O (0.142, 0.363, 0.027)
O (0.156, 0.826, 0.728)
O (0.159, 0.015, 0.419)
O (0.160, 0.378, 0.514)
O (0.214, 0.841, 0.231)
O (0.288, 0.677, 0.507)
O (0.291, 0.661, 0.025)
O (0.312, 0.496, 0.317)
O (0.338, 0.145, 0.233)
O (0.340, 0.116, 0.726)
O (0.344, 0.477, 0.842)
O (0.656, 0.523, 0.158)
O (0.660, 0.884, 0.274)
O (0.662, 0.855, 0.767)
O (0.688, 0.504, 0.683)
O (0.709, 0.339, 0.975)
O (0.712, 0.323, 0.493)
O (0.786, 0.159, 0.769)
O (0.840, 0.622, 0.486)
O (0.841, 0.985, 0.581)
O (0.844, 0.174, 0.272)
O (0.858, 0.637, 0.973)
O (0.864, 0.990, 0.089)